1.
For Tb7FeI12, a structure optimized by DFT (GGA-PBE) gives the calculated powder diffraction line list in this record (Cu Kα (weighted mean of Kα1 and Kα2)).
Kinematic intensities with the Lorentz-polarization factor, no thermal factor.

Top 8 peaks for 10° ≤ 2θ ≤ 80°, by angle:
2θ (°), I/Imax
11.34, 27
25.12, 12
28.92, 100
40.97, 34
41.73, 34
51.57, 16
59.90, 14
68.42, 12

Cell and atoms:
```
Tb7FeI12
1.0
7.8035 4.5053 3.6299
-7.8035 4.5053 3.6299
0.0000 -9.0107 3.6299
Tb Fe I
7 1 12
direct
0.0000 0.0000 0.0000 Tb
0.2094 0.4763 0.4071 Tb
0.4071 0.2094 0.4763 Tb
0.4763 0.4071 0.2094 Tb
0.5237 0.5929 0.7906 Tb
0.5929 0.7906 0.5237 Tb
0.7906 0.5237 0.5929 Tb
0.5000 0.5000 0.5000 Fe
0.0334 0.1113 0.3401 I
0.1113 0.3401 0.0334 I
0.1799 0.5727 0.7267 I
0.2733 0.8201 0.4273 I
0.3401 0.0334 0.1113 I
0.4273 0.2733 0.8201 I
0.5727 0.7267 0.1799 I
0.6599 0.9666 0.8887 I
0.7267 0.1799 0.5727 I
0.8201 0.4273 0.2733 I
0.8887 0.6599 0.9666 I
0.9666 0.8887 0.6599 I
```



2.
For Lu12In2Fe3, a structure optimized by DFT (GGA-PBE) gives the calculated powder diffraction line list in this record (Cu Kα (weighted mean of Kα1 and Kα2)).
Kinematic intensities with the Lorentz-polarization factor, no thermal factor.

Top 8 peaks for 10° ≤ 2θ ≤ 80°, by angle:
2θ (°), I/Imax
29.64, 25
30.56, 24
32.85, 100
35.20, 35
35.99, 39
37.61, 40
60.19, 16
61.25, 23

Cell and atoms:
```
Lu12In2Fe3
1.0
-4.7831 4.7831 4.6086
4.7831 -4.7831 4.6086
4.7831 4.7831 -4.6086
Lu In Fe
12 2 3
direct
0.0439 0.8078 0.2361 Lu
0.1922 0.4283 0.2361 Lu
0.1922 0.9561 0.7639 Lu
0.3064 0.3064 0.6128 Lu
0.3064 0.6936 0.0000 Lu
0.4283 0.1922 0.2361 Lu
0.5717 0.8078 0.7639 Lu
0.6936 0.3064 0.0000 Lu
0.6936 0.6936 0.3872 Lu
0.8078 0.0439 0.2361 Lu
0.8078 0.5717 0.7639 Lu
0.9561 0.1922 0.7639 Lu
0.0000 0.5000 0.5000 In
0.5000 0.0000 0.5000 In
0.0000 0.0000 0.0000 Fe
0.3830 0.3830 0.0000 Fe
0.6170 0.6170 0.0000 Fe
```



3.
For InFe2N2, a structure optimized by DFT (GGA-PBE) gives the calculated powder diffraction line list in this record (Cu Kα (weighted mean of Kα1 and Kα2)).
Kinematic intensities with the Lorentz-polarization factor, no thermal factor.

Top 8 peaks for 10° ≤ 2θ ≤ 80°, by angle:
2θ (°), I/Imax
21.52, 37
32.53, 71
35.04, 100
37.85, 65
39.21, 36
39.56, 69
51.07, 45
62.41, 26

Cell and atoms:
```
InFe2N2
1.0
5.1606 0.0000 0.0000
0.0000 2.9663 0.0000
-1.6411 0.0000 8.2581
In Fe N
2 4 4
direct
0.0000 0.0000 0.0000 In
0.5000 0.5000 0.0000 In
0.2058 0.0000 0.6235 Fe
0.2942 0.5000 0.3765 Fe
0.7058 0.5000 0.6235 Fe
0.7942 0.0000 0.3765 Fe
0.1053 0.0000 0.3088 N
0.3947 0.5000 0.6912 N
0.6053 0.5000 0.3088 N
0.8947 0.0000 0.6912 N
```



4.
For InFeNi, a structure optimized by DFT (GGA-PBE) gives the calculated powder diffraction line list in this record (Cu Kα (weighted mean of Kα1 and Kα2)).
Kinematic intensities with the Lorentz-polarization factor, no thermal factor.

Top 8 peaks for 10° ≤ 2θ ≤ 80°, by angle:
2θ (°), I/Imax
28.95, 22
34.25, 12
40.95, 100
41.84, 76
54.42, 18
59.99, 24
74.59, 15
75.20, 24

Cell and atoms:
```
InFeNi
1.0
4.4073 0.0000 0.0000
-2.2037 3.8169 0.0000
0.0000 0.0000 5.2358
In Fe Ni
2 2 2
direct
0.3333 0.6667 0.2500 In
0.6667 0.3333 0.7500 In
0.3333 0.6667 0.7500 Fe
0.6667 0.3333 0.2500 Fe
0.0000 0.0000 0.0000 Ni
0.0000 0.0000 0.5000 Ni
```